This entry pairs a crystal structure of Ba2WO5 with its simulated powder diffractogram. Radiation: CuKα. Structure: the GGA+U geometry in the Materials Project.
Kinematic intensities with the Lorentz-polarization factor, no thermal factor.

Structure:
```
data_Ba2WO5
_symmetry_space_group_name_H-M 'P n m a'
_symmetry_Int_Tables_number 62
_symmetry_space_group_name_Hall '-P 2ac 2n'
_cell_length_a 7.5690
_cell_length_b 5.8075
_cell_length_c 11.7290
_cell_angle_alpha 90.00
_cell_angle_beta 90.00
_cell_angle_gamma 90.00
loop_
_atom_site_label
_atom_site_type_symbol
_atom_site_fract_x
_atom_site_fract_y
_atom_site_fract_z
Ba1 Ba 0.0208 0.2500 0.2166
Ba2 Ba 0.1728 0.7500 0.4162
W1 W 0.1750 0.7500 0.0638
O1 O 0.0000 0.0000 0.0000
O2 O 0.0290 0.7500 0.1961
O3 O 0.1771 0.0093 0.6126
O4 O 0.2260 0.2500 0.4073
```

Principal peaks in the range 10° ≤ 2θ ≤ 90°, most intense first:
Position (°2θ), I/Imax, hkl
27.50, 100, 0 1 3
28.10, 66, 2 0 2
30.79, 47, 0 2 0
29.18, 38, 2 1 1
32.09, 30, 2 1 2
42.14, 29, 2 2 2
45.71, 20, 2 2 3
52.76, 19, 0 3 3
50.73, 19, 4 1 0
53.80, 18, 4 0 3